No. 1
The following is a simulated PXRD pattern of Sr2Tl2O5. It was derived from a cell relaxed with GGA-PBE, using copper Kα.
No peak broadening, texture or thermal motion is included.

Atomic structure:
```
Sr2Tl2O5
1.0
1.7823 -5.8437 0.0000
1.7823 5.8437 0.0000
0.0000 0.0000 14.0653
Sr Tl O
4 4 10
Direct
0.0331 0.9669 0.5000
0.2118 0.7882 0.1537
0.7882 0.2118 0.6537
0.9669 0.0331 0.0000
0.2377 0.7623 0.8736
0.4875 0.5125 0.2657
0.5125 0.4875 0.7657
0.7623 0.2377 0.3736
0.1187 0.8813 0.3208
0.1619 0.8381 0.7314
0.3188 0.6812 0.0065
0.4048 0.5952 0.4040
0.4409 0.5591 0.6251
0.5591 0.4409 0.1251
0.5952 0.4048 0.9040
0.6812 0.3188 0.5065
0.8381 0.1619 0.2314
0.8813 0.1187 0.8208
```

Largest 8 diffraction maxima, by angle, 5 to 70 degrees two-theta:
2theta, I (rel.)
12.59, 69
26.91, 31
29.11, 52
29.65, 100
30.60, 38
32.47, 35
34.70, 48
36.48, 49

No. 2
The following is a simulated PXRD pattern of SrTlO. It was derived from a cell relaxed with GGA-PBE, using copper Kα.
No peak broadening, texture or thermal motion is included.

Atomic structure:
```
SrTlO
1.0
3.5117 0.0000 0.0000
0.0000 3.5117 0.0000
0.0000 0.0000 5.8077
Sr Tl O
1 1 1
Direct
0.0000 0.0000 0.0000
0.5000 0.5000 0.5079
0.5000 0.5000 0.9309
```

Largest 8 diffraction maxima, by angle, 5 to 70 degrees two-theta:
2theta, I (rel.)
25.36, 16
29.73, 100
30.79, 27
36.17, 37
48.22, 31
54.09, 21
61.13, 27
61.74, 15

No. 3
The following is a simulated PXRD pattern of Sr2Tl2O5. It was derived from a cell relaxed with GGA-PBE, using copper Kα.
No peak broadening, texture or thermal motion is included.

Atomic structure:
```
Sr2Tl2O5
1.0
6.1097 0.0000 0.0000
0.0000 14.1148 0.0000
-2.0066 0.0000 6.8106
Sr Tl O
8 8 20
Direct
0.0521 0.1131 0.1373
0.0521 0.3869 0.6373
0.4303 0.7344 0.7391
0.4303 0.7656 0.2391
0.5697 0.2344 0.7609
0.5697 0.2656 0.2609
0.9479 0.6131 0.3627
0.9479 0.8869 0.8627
0.0472 0.1066 0.6376
0.0472 0.3934 0.1376
0.5000 0.0000 0.0000
0.5000 0.0000 0.5000
0.5000 0.5000 0.0000
0.5000 0.5000 0.5000
0.9528 0.6066 0.8624
0.9528 0.8934 0.3624
0.1341 0.7345 0.9201
0.1341 0.7655 0.4201
0.2064 0.5342 0.1776
0.2064 0.9658 0.6776
0.2315 0.5552 0.6831
0.2315 0.9448 0.1831
0.3389 0.1381 0.4645
0.3389 0.3619 0.9645
0.3545 0.1399 0.9638
0.3545 0.3601 0.4638
0.6455 0.6399 0.5362
0.6455 0.8601 0.0362
0.6611 0.6381 0.0355
0.6611 0.8619 0.5355
0.7685 0.0552 0.8169
0.7685 0.4448 0.3169
0.7936 0.0342 0.3224
0.7936 0.4658 0.8224
0.8659 0.2345 0.5799
0.8659 0.2655 0.0799
```

Largest 8 diffraction maxima, by angle, 5 to 70 degrees two-theta:
2theta, I (rel.)
12.54, 46
29.12, 25
29.23, 25
29.55, 100
30.51, 39
36.36, 27
36.63, 29
46.98, 22

No. 4
The following is a simulated PXRD pattern of Sr2Tl2O5. It was derived from a cell relaxed with GGA-PBE, using copper Kα.
No peak broadening, texture or thermal motion is included.

Atomic structure:
```
Sr2Tl2O5
1.0
-8.1336 3.1415 3.0459
8.1336 -3.1415 3.0459
8.1336 3.1415 -3.0459
Sr Tl O
4 4 10
Direct
0.0164 0.1108 0.1271
0.0164 0.3892 0.4056
0.9836 0.6108 0.5944
0.9836 0.8892 0.8729
0.4383 0.7359 0.2023
0.5180 0.0180 0.5000
0.5180 0.5180 0.0000
0.5336 0.2359 0.7977
0.0058 0.3711 0.1347
0.0218 0.2898 0.7891
0.0218 0.7328 0.2321
0.2364 0.8711 0.8653
0.4892 0.2335 0.5346
0.4892 0.4546 0.7557
0.5007 0.2328 0.2109
0.5007 0.7898 0.7679
0.6989 0.7335 0.2443
0.6989 0.9546 0.4654
```

Largest 8 diffraction maxima, by angle, 5 to 70 degrees two-theta:
2theta, I (rel.)
20.30, 24
21.85, 12
28.41, 28
29.32, 29
30.00, 100
41.29, 25
51.31, 20
52.43, 23